Computed XRD peak list of LiNiP3O9 for copper Kα, from DFT lattice parameters and positions (PBE+U).
Intensities are scaled so that the largest is 100.

The 6 most intense peaks (2θ = 10–90°), low angle first:
h k l, d [Å], 2θ/deg, I (rel.)
1 0 -1, 7.775, 11.4, 100
1 1 -2, 4.433, 20.0, 48
1 2 -1, 3.520, 25.3, 43
1 0 -3, 3.095, 28.8, 44
2 -3 1, 2.854, 31.3, 89
2 2 -2, 2.731, 32.8, 74

Atomic structure:
Unit cell a=9.3872 b=9.4048 c=9.6678 alpha=104.74 beta=109.74 gamma=108.73
Fractional positions:
Li  0.0677  0.1520  0.4943
Li  0.1544  0.8563  0.3308
Li  0.8456  0.1437  0.6692
Li  0.9323  0.8480  0.5057
Ni  0.2280  0.2505  0.2751
Ni  0.2982  0.5956  0.2115
Ni  0.7018  0.4044  0.7885
Ni  0.7720  0.7495  0.7249
P  0.0897  0.6859  0.9256
P  0.1542  0.0108  0.9005
P  0.2133  0.4421  0.8386
P  0.3423  0.0722  0.7089
P  0.3923  0.4983  0.6466
P  0.4382  0.8069  0.5912
P  0.5618  0.1931  0.4088
P  0.6077  0.5017  0.3534
P  0.6577  0.9278  0.2911
P  0.7867  0.5579  0.1614
P  0.8458  0.9892  0.0995
P  0.9103  0.3141  0.0744
O  0.0125  0.0655  0.2506
O  0.0754  0.2835  0.7018
O  0.0971  0.3819  0.1869
O  0.1402  0.6883  0.0921
O  0.1633  0.5902  0.8296
O  0.1784  0.0018  0.5571
O  0.1794  0.1343  0.0476
O  0.1922  0.8658  0.9403
O  0.2500  0.3471  0.5029
O  0.2734  0.4504  0.0049
O  0.3079  0.0916  0.8635
O  0.3195  0.7645  0.4192
O  0.3651  0.6545  0.6350
O  0.3764  0.1371  0.3590
O  0.3758  0.5002  0.8053
O  0.4118  0.9360  0.7114
O  0.4283  0.4706  0.3222
O  0.4809  0.2315  0.7495
O  0.5191  0.7685  0.2505
O  0.5717  0.5294  0.6778
O  0.5882  0.0640  0.2886
O  0.6242  0.4998  0.1947
O  0.6236  0.8629  0.6410
O  0.6349  0.3455  0.3650
O  0.6805  0.2355  0.5808
O  0.6921  0.9084  0.1365
O  0.7266  0.5496  0.9951
O  0.7500  0.6529  0.4971
O  0.8078  0.1342  0.0597
O  0.8206  0.8657  0.9524
O  0.8216  0.9982  0.4429
O  0.8367  0.4098  0.1704
O  0.8598  0.3117  0.9079
O  0.9029  0.6181  0.8131
O  0.9246  0.7165  0.2982
O  0.9875  0.9345  0.7494